Structure and simulated powder diffractogram of LiVCdF6 (DFT lattice parameters and positions (PBE+U); copper Kα).
Intensities are scaled so that the largest is 100.

Most intense lines, 15 to 90 degrees two-theta, by angle:
| (hkl) | Position (°2θ) | I_rel |
| --- | --- | --- |
| 1 0 0 | 19.58 | 31 |
| 1 0 2 | 26.94 | 100 |
| 1 1 2 | 39.13 | 25 |
| 2 0 2 | 44.12 | 24 |
| 2 -1 4 | 51.42 | 38 |
| 3 -1 2 | 57.02 | 24 |

Structural model:
```
data_LiVCdF6
_cell_length_a 5.2344
_cell_length_b 5.2344
_cell_length_c 9.6837
_cell_angle_alpha 90.00
_cell_angle_beta 90.00
_cell_angle_gamma 120.00
_symmetry_space_group_name_H-M 'P -3 1 c'
_symmetry_Int_Tables_number 163
_symmetry_space_group_name_Hall '-P 3 2c'
loop_
_atom_site_label
_atom_site_type_symbol
_atom_site_fract_x
_atom_site_fract_y
_atom_site_fract_z
Li1 Li 0.3333 0.6667 0.2500
V1 V 0.3333 0.6667 0.7500
Cd1 Cd 0.0000 0.0000 0.0000
F1 F 0.0127 0.3597 0.8632
```

***

Structure and simulated powder diffractogram of MnCd3F6 (DFT lattice parameters and positions (PBE+U); copper Kα).
Intensities are scaled so that the largest is 100.

Most intense lines, 15 to 90 degrees two-theta, by angle:
| (hkl) | Position (°2θ) | I_rel |
| --- | --- | --- |
| 0 1 -1 | 15.07 | 100 |
| 1 0 0 | 16.29 | 55 |
| 1 1 0 | 16.94 | 49 |
| 0 2 0 | 25.30 | 48 |
| 0 2 2 | 27.99 | 38 |
| 2 0 -2 | 36.93 | 38 |

Structural model:
```
data_MnCd3F6
_cell_length_a 5.8006
_cell_length_b 7.5251
_cell_length_c 12.4214
_cell_angle_alpha 83.04
_cell_angle_beta 84.42
_cell_angle_gamma 70.04
_symmetry_space_group_name_H-M 'P -1'
_symmetry_Int_Tables_number 2
loop_
_symmetry_equiv_pos_as_xyz
'x,y,z'
'-x,-y,-z'
loop_
_atom_site_label
_atom_site_type_symbol
_atom_site_fract_x
_atom_site_fract_y
_atom_site_fract_z
Mn1 Mn 0.0000 0.0000 0.0000
Cd1 Cd 0.0000 0.0000 0.5000
Cd2 Cd 0.0000 0.5000 0.0000
Cd3 Cd 0.5000 0.5000 0.0000
F1 F 0.0736 0.9738 0.6531
F2 F 0.0844 0.2251 0.9220
F3 F 0.3014 0.8053 0.9358
```